(1)
Structure and simulated powder X-ray diffraction pattern of Li11Ag9Au4 (a cell relaxed with PBE; Cu Ka).
Lines closer than 0.1° are merged.

Peak list (10 most intense, 2θ from 15° to 90°, by angle)
2θ/deg  intensity
22.36  20
26.39  82
27.80  54
29.37  100
30.38  19
38.70  71
39.89  63
40.88  46
49.32  53
77.59  18

Cell and atoms:
a = 11.9939 Å, b = 11.9939 Å, c = 3.0412 Å
α = 90.00°, β = 90.00°, γ = 115.29°
Sites, in units of the cell vectors:
1 Li 0.0000 0.0000 0.0000
2 Li 0.0527 0.4052 0.0000
3 Li 0.1710 0.8290 0.0000
4 Li 0.2613 0.2613 0.0000
5 Li 0.3653 0.6347 0.0000
6 Li 0.4052 0.0527 0.0000
7 Li 0.5948 0.9473 0.0000
8 Li 0.6347 0.3653 0.0000
9 Li 0.7387 0.7387 0.0000
10 Li 0.8290 0.1710 0.0000
11 Li 0.9473 0.5948 0.0000
12 Ag 0.0346 0.1981 0.5000
13 Ag 0.1509 0.6241 0.5000
14 Ag 0.1981 0.0346 0.5000
15 Ag 0.3759 0.8491 0.5000
16 Ag 0.5000 0.5000 0.5000
17 Ag 0.6241 0.1509 0.5000
18 Ag 0.8019 0.9654 0.5000
19 Ag 0.8491 0.3759 0.5000
20 Ag 0.9654 0.8019 0.5000
21 Au 0.2437 0.4357 0.5000
22 Au 0.4357 0.2437 0.5000
23 Au 0.5643 0.7563 0.5000
24 Au 0.7563 0.5643 0.5000


(2)
Structure and simulated powder X-ray diffraction pattern of Sr2LiH8O6 (a cell relaxed with PBE; Cu Ka).
Lines closer than 0.1° are merged.

Peak list (10 most intense, 2θ from 15° to 90°, by angle)
2θ/deg  intensity
15.42  100
19.18  18
19.73  15
24.70  17
29.25  31
36.94  26
38.36  23
39.07  26
40.14  21
41.41  16

Cell and atoms:
a = 6.3522 Å, b = 3.6038 Å, c = 9.2447 Å
α = 90.00°, β = 103.19°, γ = 90.00°
Sites, in units of the cell vectors:
1 Sr 0.0000 0.0000 0.0000
2 Sr 0.3963 0.0000 0.3599
3 Li 0.1018 0.0000 0.7076
4 H 0.0377 0.5000 0.2761
5 H 0.3010 0.5000 0.8796
6 H 0.5505 0.2143 0.0612
7 H 0.5505 0.7857 0.0612
8 H 0.6301 0.5000 0.8789
9 H 0.7300 0.2147 0.6363
10 H 0.7300 0.7853 0.6363
11 H 0.7867 0.5000 0.4580
12 O 0.1445 0.5000 0.2136
13 O 0.1455 0.5000 0.8374
14 O 0.4763 0.0000 0.1012
15 O 0.6457 0.5000 0.4860
16 O 0.6972 0.5000 0.9851
17 O 0.7835 0.0000 0.7048


(3)
Structure and simulated powder X-ray diffraction pattern of UTlCl4 (a cell relaxed with PBE; Cu Ka).
Lines closer than 0.1° are merged.

Peak list (10 most intense, 2θ from 15° to 90°, by angle)
2θ/deg  intensity
17.11  80
17.71  64
24.02  100
24.72  30
34.43  66
35.05  47
35.86  20
39.99  19
43.11  40
56.40  18

Cell and atoms:
a = 10.0160 Å, b = 10.3626 Å, c = 4.3202 Å
α = 90.00°, β = 90.00°, γ = 90.00°
Sites, in units of the cell vectors:
1 U 0.0000 0.0000 0.0000
2 U 0.5000 0.5000 0.0000
3 Tl 0.0000 0.5000 0.5000
4 Tl 0.5000 0.0000 0.5000
5 Cl 0.0000 0.1738 0.5000
6 Cl 0.0000 0.8262 0.5000
7 Cl 0.2306 0.5000 0.0000
8 Cl 0.2694 0.0000 0.0000
9 Cl 0.5000 0.3262 0.5000
10 Cl 0.5000 0.6738 0.5000
11 Cl 0.7306 0.0000 0.0000
12 Cl 0.7694 0.5000 0.0000


(4)
Structure and simulated powder X-ray diffraction pattern of Pa3BeSi3 (a cell relaxed with PBE; Cu Ka).
Lines closer than 0.1° are merged.

Peak list (10 most intense, 2θ from 15° to 90°, by angle)
2θ/deg  intensity
21.92  49
28.08  83
31.35  32
33.45  100
33.86  64
38.22  22
43.36  23
52.45  32
53.79  40
59.63  26

Cell and atoms:
a = 3.8260 Å, b = 4.1740 Å, c = 17.1175 Å
α = 90.00°, β = 90.00°, γ = 90.00°
Sites, in units of the cell vectors:
1 Pa 0.0000 0.0000 0.0000
2 Pa 0.0000 0.0000 0.3686
3 Pa 0.0000 0.5000 0.6827
4 Pa 0.5000 0.0000 0.1827
5 Pa 0.5000 0.5000 0.5000
6 Pa 0.5000 0.5000 0.8686
7 Be 0.0000 0.5000 0.1167
8 Be 0.5000 0.0000 0.6167
9 Si 0.0000 0.0000 0.5485
10 Si 0.0000 0.0000 0.8276
11 Si 0.0000 0.5000 0.2423
12 Si 0.5000 0.0000 0.7423
13 Si 0.5000 0.5000 0.0485
14 Si 0.5000 0.5000 0.3276